Li5AlCo4O10: calculated powder X-ray diffraction pattern (λ = 1.5418 Å (Cu Kα)), based on a DFT-relaxed cell (GGA+U, Alexandria).

Peak list (10 most intense, 5° ≤ 2θ ≤ 70°, by angle)
h k l, 2θ (°), d_spacing, Rel. int.
0 0 6, 7.5, 11.849, 10
0 0 15, 18.7, 4.740, 100
0 1 5, 37.1, 2.422, 35
1 0 10, 38.8, 2.323, 11
0 1 20, 44.8, 2.022, 72
1 0 25, 49.0, 1.859, 11
0 1 35, 59.0, 1.566, 14
1 0 40, 64.7, 1.440, 19
1 1 0, 65.8, 1.419, 20
1 1 15, 69.1, 1.359, 13

Structure:
```
data_Li5AlCo4O10
_chemical_formula_sum 'Li15 Al3 Co12 O30'
_cell_length_a 2.8378
_cell_length_b 2.8378
_cell_length_c 71.0956
_cell_angle_alpha 90.00
_cell_angle_beta 90.00
_cell_angle_gamma 120.00
_symmetry_space_group_name_H-M 'R -3 m'
_symmetry_Int_Tables_number 166
_symmetry_space_group_name_Hall '-R 3 2"'
loop_
_atom_site_label
_atom_site_type_symbol
_atom_site_fract_x
_atom_site_fract_y
_atom_site_fract_z
_atom_site_occupancy
Li1 Li 0.0000 0.0000 0.0000 1
Li2 Li 0.0000 0.0000 0.2004 1
Li3 Li 0.0000 0.0000 0.3998 1
Al1 Al 0.0000 0.0000 0.5000 1
Co1 Co 0.0000 0.0000 0.0997 1
Co2 Co 0.0000 0.0000 0.3001 1
O1 O 0.0000 0.0000 0.0477 1
O2 O 0.0000 0.0000 0.1522 1
O3 O 0.0000 0.0000 0.2481 1
O4 O 0.0000 0.0000 0.3521 1
O5 O 0.0000 0.0000 0.4476 1
```